For ErAgSn2, DFT lattice parameters and positions (GGA-PBE) gives the calculated PXRD pattern in this record (Cu Kα (weighted mean of Kα1 and Kα2)).

Principal peaks in the range 5 to 70 degrees two-theta, by intensity:
| two_theta | intensity |
| --- | --- |
| 34.1 | 1000 |
| 39.0 | 348 |
| 67.5 | 279 |
| 57.7 | 222 |
| 40.8 | 153 |
| 70.0 | 126 |
| 56.3 | 120 |
| 19.2 | 20 |
| 27.9 | 16 |
| 48.6 | 8 |

Crystal structure
```
data_ErAgSn2
_space_group_name_H-M_alt 'P 4/m m m'
_space_group_IT_number 123
_space_group_name_Hall '-P 4 2'
_cell_length_a 4.623
_cell_length_b 4.623
_cell_length_c 4.424
_cell_angle_alpha 90.00
_cell_angle_beta 90.00
_cell_angle_gamma 90.00
loop_
_atom_site_label
_atom_site_type_symbol
_atom_site_fract_x
_atom_site_fract_y
_atom_site_fract_z
Er1 Er 0.000 0.000 0.000
Ag1 Ag 0.500 0.500 0.000
Sn1 Sn 0.000 0.500 0.500
```

***

For ZrFeCl6, DFT lattice parameters and positions (GGA-PBE) gives the calculated PXRD pattern in this record (Cu Kα (weighted mean of Kα1 and Kα2)).

Principal peaks in the range 5 to 70 degrees two-theta, by intensity:
| two_theta | intensity |
| --- | --- |
| 13.3 | 1000 |
| 31.1 | 860 |
| 17.4 | 674 |
| 39.1 | 617 |
| 50.0 | 284 |
| 49.6 | 263 |
| 25.7 | 160 |
| 51.6 | 154 |
| 64.9 | 113 |
| 59.8 | 103 |

Crystal structure
```
data_ZrFeCl6
_space_group_name_H-M_alt 'P -3 1 c'
_space_group_IT_number 163
_space_group_name_Hall '-P 3 2c'
_cell_length_a 6.3643
_cell_length_b 6.3643
_cell_length_c 13.3392
_cell_angle_alpha 90.00
_cell_angle_beta 90.00
_cell_angle_gamma 120.00
loop_
_atom_site_label
_atom_site_type_symbol
_atom_site_fract_x
_atom_site_fract_y
_atom_site_fract_z
Zr1 Zr 0.3333 0.6667 0.2500
Fe1 Fe 0.0000 0.0000 0.2500
Cl1 Cl 0.0248 0.3313 0.3567
```